(1)
This entry pairs a crystal structure of Ag25Bi3O18 with its simulated X-ray powder pattern. Radiation: a wavelength of 1.5418 Å. Structure: a crystal structure in OQMD, relaxed with PBE.
Intensities are scaled so that the largest is 100.

Crystal structure
```
Ag25Bi3O18
1.0
11.6610 0.0000 0.0000
-5.8305 10.0987 0.0000
0.0000 0.0000 6.2639
Ag Bi O
25 3 18
Direct
0.0000 0.0000 0.0000
0.0000 0.5000 0.0000
0.0000 0.5000 0.5000
0.0185 0.2700 0.1581
0.0490 0.7422 0.3314
0.2344 0.4842 0.7476
0.2498 0.7656 0.7476
0.2514 0.9815 0.1581
0.2578 0.3068 0.3314
0.2700 0.2514 0.8419
0.3068 0.0490 0.6686
0.4842 0.2498 0.2524
0.5000 0.0000 0.0000
0.5000 0.0000 0.5000
0.5000 0.5000 0.0000
0.5000 0.5000 0.5000
0.5158 0.7502 0.7476
0.6932 0.9510 0.3314
0.7300 0.7486 0.1581
0.7422 0.6932 0.6686
0.7486 0.0185 0.8419
0.7502 0.2344 0.2524
0.7656 0.5158 0.2524
0.9510 0.2578 0.6686
0.9815 0.7300 0.8419
0.0000 0.0000 0.5000
0.3333 0.6667 0.2294
0.6667 0.3333 0.7706
0.0763 0.1731 0.7070
0.0968 0.9237 0.7070
0.1591 0.4680 0.0608
0.1731 0.0968 0.2930
0.1831 0.6747 0.4445
0.3089 0.8409 0.0608
0.3253 0.5084 0.4445
0.4680 0.3089 0.9392
0.4916 0.8169 0.4445
0.5084 0.1831 0.5555
0.5320 0.6911 0.0608
0.6747 0.4916 0.5555
0.6911 0.1591 0.9392
0.8169 0.3253 0.5555
0.8269 0.9032 0.7070
0.8409 0.5320 0.9392
0.9032 0.0763 0.2930
0.9237 0.8269 0.2930
```

Main lines, low angle first (2θ = 5–70°):
- 2θ = 26.5°, I 22
- 2θ = 27.4°, I 37
- 2θ = 32.5°, I 36
- 2θ = 33.7°, I 100
- 2θ = 35.1°, I 78
- 2θ = 35.6°, I 92
- 2θ = 37.1°, I 21
- 2θ = 42.4°, I 17
- 2θ = 48.9°, I 16
- 2θ = 54.8°, I 20
- 2θ = 56.5°, I 39
- 2θ = 63.9°, I 17

=====

(2)
This entry pairs a crystal structure of Ag4Bi2O5 with its simulated X-ray powder pattern. Radiation: a wavelength of 1.5418 Å. Structure: a crystal structure in OQMD, relaxed with PBE.
Intensities are scaled so that the largest is 100.

Crystal structure
```
Ag4Bi2O5
1.0
14.3927 0.0000 0.0000
0.0000 5.7132 0.0000
0.0000 0.0000 8.7000
Ag Bi O
16 8 20
Direct
0.0804 0.0082 0.1367
0.0804 0.4918 0.3633
0.2485 0.7500 0.2500
0.2500 0.0000 0.9294
0.2500 0.5000 0.5706
0.2515 0.2500 0.2500
0.4196 0.5082 0.3633
0.4196 0.9918 0.1367
0.5804 0.0082 0.8633
0.5804 0.4918 0.6367
0.7485 0.7500 0.7500
0.7500 0.0000 0.0706
0.7500 0.5000 0.4294
0.7515 0.2500 0.7500
0.9196 0.5082 0.6367
0.9196 0.9918 0.8633
0.1104 0.5017 0.9087
0.1104 0.9983 0.5913
0.3896 0.0017 0.5913
0.3896 0.4983 0.9087
0.6104 0.5017 0.0913
0.6104 0.9983 0.4087
0.8896 0.0017 0.4087
0.8896 0.4983 0.0913
0.0451 0.5433 0.1289
0.0451 0.9567 0.3711
0.1128 0.1269 0.9051
0.1128 0.3731 0.5949
0.2500 0.0000 0.4443
0.2500 0.5000 0.0557
0.3872 0.6269 0.5949
0.3872 0.8731 0.9051
0.4549 0.0433 0.3711
0.4549 0.4567 0.1289
0.5451 0.5433 0.8711
0.5451 0.9567 0.6289
0.6128 0.1269 0.0949
0.6128 0.3731 0.4051
0.7500 0.0000 0.5557
0.7500 0.5000 0.9443
0.8872 0.6269 0.4051
0.8872 0.8731 0.0949
0.9549 0.0433 0.6289
0.9549 0.4567 0.8711
```

Main lines, low angle first (2θ = 5–70°):
- 2θ = 26.5°, I 22
- 2θ = 31.1°, I 29
- 2θ = 31.3°, I 33
- 2θ = 31.5°, I 25
- 2θ = 31.9°, I 100
- 2θ = 33.6°, I 10
- 2θ = 37.5°, I 22
- 2θ = 40.3°, I 15
- 2θ = 48.6°, I 14
- 2θ = 52.9°, I 13
- 2θ = 54.7°, I 11
- 2θ = 56.1°, I 29

=====

(3)
This entry pairs a crystal structure of AgBi2O4 with its simulated X-ray powder pattern. Radiation: a wavelength of 1.5418 Å. Structure: a crystal structure in OQMD, relaxed with PBE.
Intensities are scaled so that the largest is 100.

Crystal structure
```
AgBi2O4
1.0
0.0000 4.9368 4.9368
4.9368 0.0000 4.9368
4.9368 4.9368 0.0000
Ag Bi O
2 4 8
Direct
0.1250 0.1250 0.1250
0.8750 0.8750 0.8750
0.0000 0.5000 0.5000
0.5000 0.0000 0.5000
0.5000 0.5000 0.0000
0.5000 0.5000 0.5000
0.2631 0.2631 0.2631
0.2631 0.2631 0.7106
0.2631 0.7106 0.2631
0.2894 0.7369 0.7369
0.7106 0.2631 0.2631
0.7369 0.2894 0.7369
0.7369 0.7369 0.2894
0.7369 0.7369 0.7369
```

Main lines, low angle first (2θ = 5–70°):
- 2θ = 15.5°, I 35
- 2θ = 25.5°, I 13
- 2θ = 30.0°, I 100
- 2θ = 31.4°, I 44
- 2θ = 36.4°, I 25
- 2θ = 39.8°, I 8
- 2θ = 47.9°, I 40
- 2θ = 52.4°, I 44
- 2θ = 55.0°, I 9
- 2θ = 61.6°, I 13
- 2θ = 62.4°, I 22
- 2θ = 65.5°, I 6

=====

(4)
This entry pairs a crystal structure of Ag3BiO3 with its simulated X-ray powder pattern. Radiation: a wavelength of 1.5418 Å. Structure: a crystal structure in OQMD, relaxed with PBE.
Intensities are scaled so that the largest is 100.

Crystal structure
```
Ag3BiO3
1.0
-7.1153 7.1153 4.4147
7.1153 -7.1153 4.4147
7.1153 7.1153 -4.4147
Ag Bi O
24 8 24
Direct
0.0416 0.5609 0.6433
0.1482 0.2916 0.9807
0.1502 0.7833 0.9352
0.1928 0.8366 0.4634
0.2248 0.0007 0.2256
0.3109 0.1676 0.0193
0.3670 0.2118 0.5493
0.3732 0.7294 0.5366
0.4794 0.4428 0.8562
0.5260 0.0944 0.3864
0.5333 0.0981 0.1330
0.5678 0.6170 0.6552
0.5866 0.6232 0.1438
0.6626 0.8178 0.4507
0.7080 0.1397 0.6136
0.7493 0.4748 0.7241
0.7507 0.0252 0.2759
0.7752 0.9993 0.7744
0.8444 0.9580 0.0684
0.8481 0.2151 0.0648
0.8897 0.7760 0.9316
0.9176 0.3982 0.3567
0.9618 0.9126 0.3448
0.9651 0.4002 0.8670
0.0313 0.9028 0.6681
0.1132 0.2813 0.6285
0.2347 0.3632 0.3319
0.2767 0.6566 0.1776
0.4066 0.7289 0.8799
0.4789 0.0990 0.8224
0.6528 0.4847 0.3715
0.8490 0.5267 0.1201
0.0114 0.1426 0.3876
0.0514 0.9889 0.8621
0.0716 0.4141 0.2503
0.1260 0.7484 0.1196
0.1268 0.1893 0.1379
0.1641 0.4138 0.8425
0.1638 0.8214 0.7497
0.3499 0.1799 0.7356
0.3643 0.5999 0.6699
0.3738 0.2614 0.3688
0.3802 0.8257 0.3710
0.4443 0.6143 0.2644
0.4548 0.0093 0.6290
0.4984 0.8788 0.1224
0.5714 0.3216 0.1575
0.5757 0.7048 0.9455
0.6288 0.0064 0.8804
0.7389 0.3768 0.4374
0.7550 0.6238 0.6124
0.7564 0.3760 0.8776
0.7593 0.6302 0.0545
0.8926 0.0050 0.6312
0.9299 0.6943 0.3301
0.9393 0.3014 0.5626
```

Main lines, low angle first (2θ = 5–70°):
- 2θ = 28.0°, I 21
- 2θ = 28.3°, I 54
- 2θ = 33.1°, I 100
- 2θ = 33.5°, I 78
- 2θ = 34.8°, I 54
- 2θ = 35.5°, I 14
- 2θ = 35.7°, I 13
- 2θ = 37.9°, I 11
- 2θ = 52.9°, I 26
- 2θ = 53.2°, I 29
- 2θ = 53.9°, I 17
- 2θ = 58.6°, I 23